Simulated powder X-ray diffraction pattern of K2NaWO4 for a wavelength of 1.5418 Å, from the PBE+U geometry in Alexandria.
Neutral-atom scattering factors, no anomalous dispersion.

Cell and atoms:
```
K2NaWO4
1.0
6.138 0.000 0.000
0.000 6.138 0.000
0.000 0.000 7.939
K Na W O
4 2 2 8
direct
0.000 0.000 0.000
0.000 0.500 0.250
0.500 0.000 0.750
0.500 0.500 0.500
0.000 0.000 0.500
0.500 0.500 0.000
0.000 0.500 0.750
0.500 0.000 0.250
0.170 0.280 0.647
0.220 0.670 0.853
0.280 0.830 0.353
0.330 0.220 0.147
0.670 0.780 0.147
0.720 0.170 0.353
0.780 0.330 0.853
0.830 0.720 0.647
```

Largest 12 diffraction maxima, in order of falling intensity, 2θ from 10° to 90°:
Position (°2θ), I/Imax
30.52, 100
18.27, 99
20.46, 40
52.48, 39
29.10, 37
55.14, 34
34.58, 28
37.01, 27
47.75, 25
41.62, 25
22.40, 19
63.55, 16